(1)
HoCuPt: theoretical powder XRD pattern (Cu Kα (weighted mean of Kα1 and Kα2)), based on a crystal structure in Alexandria, relaxed with PBE.
Lines closer than 0.1° are merged.

Atomic structure:
```
data_HoCuPt
_chemical_formula_sum 'Ho4 Cu4 Pt4'
_space_group_name_H-M_alt 'C m c m'
_space_group_IT_number 63
_space_group_name_Hall '-C 2c 2'
_cell_length_a 4.2579
_cell_length_b 9.7162
_cell_length_c 5.4314
_cell_angle_alpha 90.00
_cell_angle_beta 90.00
_cell_angle_gamma 90.00
loop_
_atom_site_label
_atom_site_fract_x
_atom_site_fract_y
_atom_site_fract_z
Ho1 0.0000 0.2047 0.2500
Cu1 0.0000 0.5000 0.0000
Pt1 0.0000 0.0964 0.7500
```

Main lines, most intense first (10 to 80 degrees two-theta):
2θ 38.66, d = 2.329 Å, I 100, hkl 1 3 1
2θ 40.48, d = 2.229 Å, I 76, hkl 1 1 2
2θ 34.80, d = 2.578 Å, I 44, hkl 1 3 0
2θ 42.46, d = 2.129 Å, I 40, hkl 2 0 0
2θ 22.80, d = 3.900 Å, I 40, hkl 1 1 0
2θ 40.69, d = 2.217 Å, I 38, hkl 0 4 1
2θ 32.98, d = 2.716 Å, I 36, hkl 0 0 2
2θ 62.71, d = 1.482 Å, I 25, hkl 1 3 3
2θ 60.26, d = 1.536 Å, I 24, hkl 2 4 1
2θ 54.79, d = 1.675 Å, I 18, hkl 2 0 2
2θ 24.59, d = 3.621 Å, I 16, hkl 0 2 1
2θ 75.15, d = 1.264 Å, I 15, hkl 3 3 1

(2)
Ho2Zn2CuPt5: theoretical powder XRD pattern (Cu Kα (weighted mean of Kα1 and Kα2)), based on a crystal structure in Alexandria, relaxed with PBE.
Lines closer than 0.1° are merged.

Atomic structure:
```
data_Ho2Zn2CuPt5
_chemical_formula_sum 'Ho4 Zn4 Cu2 Pt10'
_space_group_name_H-M_alt 'P 4/m b m'
_space_group_IT_number 127
_space_group_name_Hall '-P 4 2ab'
_cell_length_a 9.5291
_cell_length_b 9.5291
_cell_length_c 3.7623
_cell_angle_alpha 90.00
_cell_angle_beta 90.00
_cell_angle_gamma 90.00
loop_
_atom_site_label
_atom_site_fract_x
_atom_site_fract_y
_atom_site_fract_z
Ho1 0.1753 0.3247 0.0000
Zn1 0.1243 0.6243 0.0000
Cu1 0.0000 0.0000 0.0000
Pt1 0.0000 0.5000 0.5000
Pt2 0.0650 0.8002 0.5000
```

Main lines, most intense first (10 to 80 degrees two-theta):
2θ 38.27, d = 2.352 Å, I 100, hkl 3 1 1
2θ 38.97, d = 2.311 Å, I 56, hkl 4 1 0
2θ 41.77, d = 2.163 Å, I 41, hkl 3 2 1
2θ 31.73, d = 2.820 Å, I 30, hkl 2 1 1
2θ 48.39, d = 1.881 Å, I 28, hkl 0 0 2
2θ 63.80, d = 1.459 Å, I 27, hkl 4 1 2
2θ 40.15, d = 2.246 Å, I 22, hkl 3 3 0
2θ 35.78, d = 2.510 Å, I 20, hkl 2 2 1
2θ 66.90, d = 1.399 Å, I 15, hkl 6 2 1
2θ 23.65, d = 3.762 Å, I 14, hkl 0 0 1
2θ 30.27, d = 2.953 Å, I 13, hkl 2 0 1
2θ 45.04, d = 2.013 Å, I 13, hkl 4 0 1

(3)
HoPu3Cu8: theoretical powder XRD pattern (Cu Kα (weighted mean of Kα1 and Kα2)), based on a crystal structure in Alexandria, relaxed with PBE.
Lines closer than 0.1° are merged.

Atomic structure:
```
data_HoPu3Cu8
_chemical_formula_sum 'Ho1 Pu3 Cu8'
_space_group_name_H-M_alt 'P 3 m 1'
_space_group_IT_number 156
_cell_length_a 5.2348
_cell_length_b 5.2348
_cell_length_c 8.5030
_cell_angle_alpha 90.00
_cell_angle_beta 90.00
_cell_angle_gamma 120.00
loop_
_space_group_symop_operation_xyz
'x,y,z'
'-y,x-y,z'
'-x+y,-x,z'
'-y,-x,z'
'-x+y,y,z'
'x,x-y,z'
loop_
_atom_site_label
_atom_site_fract_x
_atom_site_fract_y
_atom_site_fract_z
Ho1 0.0000 0.0000 0.0000
Pu1 0.0000 0.0000 0.3907
Pu2 0.6667 0.3333 0.4938
Pu3 0.6667 0.3333 0.8750
Cu1 0.0023 0.5011 0.1870
Cu2 0.1683 0.3366 0.6937
Cu3 0.3333 0.6667 0.4414
Cu4 0.3333 0.6667 0.9411
```

Main lines, most intense first (10 to 80 degrees two-theta):
2θ 40.47, d = 2.229 Å, I 100, hkl 1 1 2
2θ 37.42, d = 2.403 Å, I 86, hkl 1 0 3
2θ 34.26, d = 2.617 Å, I 68, hkl 1 1 0
2θ 41.22, d = 2.190 Å, I 43, hkl 0 2 1
2θ 63.44, d = 1.466 Å, I 38, hkl 2 1 3
2θ 69.04, d = 1.360 Å, I 27, hkl 0 2 5
2θ 65.56, d = 1.424 Å, I 24, hkl 0 3 2
2θ 72.18, d = 1.309 Å, I 21, hkl 2 2 0
2θ 28.79, d = 3.101 Å, I 20, hkl 1 0 2
2θ 19.58, d = 4.533 Å, I 18, hkl 1 0 0
2θ 57.92, d = 1.592 Å, I 16, hkl 1 0 5
2θ 39.77, d = 2.267 Å, I 16, hkl 2 0 0

(4)
Ho2PuCu9: theoretical powder XRD pattern (Cu Kα (weighted mean of Kα1 and Kα2)), based on a crystal structure in Alexandria, relaxed with PBE.
Lines closer than 0.1° are merged.

Atomic structure:
```
data_Ho2PuCu9
_chemical_formula_sum 'Ho6 Pu3 Cu27'
_space_group_name_H-M_alt 'R -3 m'
_space_group_IT_number 166
_space_group_name_Hall '-R 3 2"'
_cell_length_a 5.1980
_cell_length_b 5.1980
_cell_length_c 24.5945
_cell_angle_alpha 90.00
_cell_angle_beta 90.00
_cell_angle_gamma 120.00
loop_
_atom_site_label
_atom_site_fract_x
_atom_site_fract_y
_atom_site_fract_z
Ho1 0.0000 0.0000 0.1420
Pu1 0.0000 0.0000 0.0000
Cu1 0.0000 0.0000 0.3325
Cu2 0.0000 0.0000 0.5000
Cu3 0.0001 0.5001 0.0824
```

Main lines, most intense first (10 to 80 degrees two-theta):
2θ 41.12, d = 2.195 Å, I 100, hkl 1 1 6
2θ 34.51, d = 2.599 Å, I 53, hkl 1 1 0
2θ 32.32, d = 2.770 Å, I 48, hkl 1 0 7
2θ 40.23, d = 2.241 Å, I 39, hkl 0 2 1
2θ 35.36, d = 2.539 Å, I 34, hkl 0 1 8
2θ 66.34, d = 1.409 Å, I 23, hkl 3 0 6
2θ 44.21, d = 2.048 Å, I 21, hkl 0 0 12
2θ 72.78, d = 1.299 Å, I 20, hkl 2 2 0
2θ 60.45, d = 1.531 Å, I 16, hkl 2 1 7
2θ 20.05, d = 4.428 Å, I 16, hkl 1 0 1
2θ 62.38, d = 1.489 Å, I 13, hkl 1 2 8
2θ 40.75, d = 2.214 Å, I 12, hkl 2 0 2

(5)
RbHoCuSe2: theoretical powder XRD pattern (Cu Kα (weighted mean of Kα1 and Kα2)), based on a crystal structure in Alexandria, relaxed with PBE.
Lines closer than 0.1° are merged.

Atomic structure:
```
data_RbHoCuSe2
_chemical_formula_sum 'Rb2 Ho2 Cu2 Se4'
_space_group_name_H-M_alt 'P 1 2/c 1'
_space_group_IT_number 13
_cell_length_a 8.0871
_cell_length_b 4.5814
_cell_length_c 8.1834
_cell_angle_alpha 90.00
_cell_angle_beta 97.62
_cell_angle_gamma 90.00
loop_
_space_group_symop_operation_xyz
'x,y,z'
'-x,-y,-z'
'-x,y,-z+1/2'
'x,-y,z+1/2'
loop_
_atom_site_label
_atom_site_fract_x
_atom_site_fract_y
_atom_site_fract_z
Rb1 0.0000 0.1445 0.2500
Ho1 0.5000 0.4945 0.7500
Cu1 0.5000 0.0000 0.0000
Se1 0.2739 0.3429 0.9717
```

Main lines, most intense first (10 to 80 degrees two-theta):
2θ 11.04, d = 8.016 Å, I 100, hkl 1 0 0
2θ 32.55, d = 2.751 Å, I 52, hkl 1 1 2
2θ 25.58, d = 3.482 Å, I 45, hkl 1 1 1
2θ 30.42, d = 2.938 Å, I 39, hkl 1 1 -2
2θ 22.35, d = 3.978 Å, I 39, hkl 1 1 0
2θ 38.98, d = 2.311 Å, I 39, hkl 2 1 2
2θ 29.18, d = 3.061 Å, I 35, hkl 2 0 -2
2θ 42.80, d = 2.113 Å, I 32, hkl 3 1 -2
2θ 33.46, d = 2.678 Å, I 31, hkl 2 0 2
2θ 44.67, d = 2.029 Å, I 30, hkl 0 0 4
2θ 35.26, d = 2.545 Å, I 28, hkl 2 1 -2
2θ 45.25, d = 2.004 Å, I 22, hkl 4 0 0

(6)
Ho2Cu15Rh2: theoretical powder XRD pattern (Cu Kα (weighted mean of Kα1 and Kα2)), based on a crystal structure in Alexandria, relaxed with PBE.
Lines closer than 0.1° are merged.

Atomic structure:
```
data_Ho2Cu15Rh2
_chemical_formula_sum 'Ho6 Cu45 Rh6'
_space_group_name_H-M_alt 'R -3 m'
_space_group_IT_number 166
_space_group_name_Hall '-R 3 2"'
_cell_length_a 8.5988
_cell_length_b 8.5988
_cell_length_c 12.4250
_cell_angle_alpha 90.00
_cell_angle_beta 90.00
_cell_angle_gamma 120.00
loop_
_atom_site_label
_atom_site_fract_x
_atom_site_fract_y
_atom_site_fract_z
Ho1 0.0000 0.0000 0.1676
Cu1 0.0000 0.2942 0.5000
Cu2 0.0000 0.5000 0.0000
Cu3 0.0041 0.5020 0.6499
Rh1 0.0000 0.0000 0.3945
```

Main lines, most intense first (10 to 80 degrees two-theta):
2θ 42.46, d = 2.129 Å, I 100, hkl 0 3 3
2θ 42.03, d = 2.150 Å, I 81, hkl 2 2 0
2θ 43.76, d = 2.069 Å, I 67, hkl 0 0 6
2θ 36.19, d = 2.482 Å, I 58, hkl 3 0 0
2θ 37.71, d = 2.385 Å, I 37, hkl 0 2 4
2θ 47.66, d = 1.908 Å, I 32, hkl 2 2 3
2θ 29.96, d = 2.983 Å, I 25, hkl 1 1 3
2θ 79.43, d = 1.207 Å, I 25, hkl 0 3 9
2θ 76.80, d = 1.241 Å, I 23, hkl 6 0 0
2θ 43.38, d = 2.086 Å, I 20, hkl 2 1 4
2θ 62.26, d = 1.491 Å, I 18, hkl 2 2 6
2θ 48.88, d = 1.863 Å, I 17, hkl 1 2 5

- Number 4 is which compound?
  Ho2PuCu9